1.
Diffraction record for Sc4NiOs. The X-ray powder pattern is simulated, not measured: it uses a structure optimized by DFT (PBE) and a wavelength of 1.5418 Å.

Main lines, by angle (2θ from 5° to 70°):
2θ = 11.82°, d 7.488, I 97; 2θ = 23.38°, d 3.805, I 64; 2θ = 23.74°, d 3.748, I 96; 2θ = 30.18°, d 2.961, I 66; 2θ = 35.54°, d 2.526, I 74; 2θ = 36.18°, d 2.483, I 71; 2θ = 38.77°, d 2.323, I 54; 2θ = 39.10°, d 2.304, I 100; 2θ = 39.75°, d 2.268, I 59; 2θ = 46.02°, d 1.972, I 64

Cell lengths 5.1919, 5.9228, 7.8302 Å; angles 90.00, 106.99, 90.00 degrees
Atoms (fractional coordinates):
Sc 0.1721 0.2500 0.0701
Sc 0.2488 0.5111 0.7025
Sc 0.2488 0.9889 0.7025
Sc 0.2637 0.7500 0.3415
Sc 0.7363 0.2500 0.6585
Sc 0.7512 0.0111 0.2975
Sc 0.7512 0.4889 0.2975
Sc 0.8279 0.7500 0.9299
Ni 0.3826 0.7500 0.0322
Ni 0.6174 0.2500 0.9678
Os 0.2660 0.2500 0.4123
Os 0.7340 0.7500 0.5877


2.
Diffraction record for Cu15Si4. The X-ray powder pattern is simulated, not measured: it uses a structure optimized by DFT (PBE) and a wavelength of 1.5418 Å.

Main lines, by angle (2θ from 5° to 70°):
2θ = 25.90°, d 3.440, I 3; 2θ = 29.02°, d 3.077, I 4; 2θ = 34.49°, d 2.600, I 21; 2θ = 36.96°, d 2.432, I 3; 2θ = 43.63°, d 2.074, I 100; 2θ = 45.68°, d 1.986, I 14; 2θ = 47.66°, d 1.908, I 57; 2θ = 58.47°, d 1.578, I 8; 2θ = 61.79°, d 1.501, I 3; 2θ = 69.69°, d 1.349, I 11

Cell lengths 8.4262, 8.4262, 8.4262 Å; angles 109.47, 109.47, 109.47 degrees
Atoms (fractional coordinates):
Cu 0.0489 0.9262 0.7012
Cu 0.0738 0.2750 0.1227
Cu 0.1227 0.0738 0.2750
Cu 0.1250 0.7500 0.8750
Cu 0.1523 0.8773 0.4511
Cu 0.2012 0.4262 0.5489
Cu 0.2250 0.2988 0.8477
Cu 0.2500 0.6250 0.3750
Cu 0.2750 0.1227 0.0738
Cu 0.2988 0.8477 0.2250
Cu 0.3477 0.7988 0.7250
Cu 0.3750 0.2500 0.6250
Cu 0.3773 0.6523 0.9511
Cu 0.4262 0.5489 0.2012
Cu 0.4511 0.1523 0.8773
Cu 0.5489 0.2012 0.4262
Cu 0.5738 0.6227 0.7750
Cu 0.6227 0.7750 0.5738
Cu 0.6250 0.3750 0.2500
Cu 0.6523 0.9511 0.3773
Cu 0.7012 0.0489 0.9262
Cu 0.7250 0.3477 0.7988
Cu 0.7500 0.8750 0.1250
Cu 0.7750 0.5738 0.6227
Cu 0.7988 0.7250 0.3477
Cu 0.8477 0.2250 0.2988
Cu 0.8750 0.1250 0.7500
Cu 0.8773 0.4511 0.1523
Cu 0.9262 0.7012 0.0489
Cu 0.9511 0.3773 0.6523
Si 0.0000 0.0877 0.5000
Si 0.0000 0.5877 0.5000
Si 0.0877 0.5000 0.0000
Si 0.4123 0.4123 0.4123
Si 0.5000 0.0000 0.0877
Si 0.5000 0.0000 0.5877
Si 0.5877 0.5000 0.0000
Si 0.9123 0.9123 0.9123


3.
Diffraction record for LiGePtO4. The X-ray powder pattern is simulated, not measured: it uses a structure optimized by DFT (PBE) and a wavelength of 1.5418 Å.

Main lines, by angle (2θ from 5° to 70°):
2θ = 17.41°, d 5.095, I 25; 2θ = 18.17°, d 4.882, I 100; 2θ = 33.06°, d 2.709, I 26; 2θ = 34.61°, d 2.591, I 42; 2θ = 35.23°, d 2.547, I 23; 2θ = 36.82°, d 2.441, I 21; 2θ = 39.12°, d 2.303, I 20; 2θ = 43.16°, d 2.096, I 32; 2θ = 44.69°, d 2.028, I 20; 2θ = 59.65°, d 1.550, I 23

Cell lengths 6.2329, 6.2329, 6.2329 Å; angles 124.99, 121.24, 84.72 degrees
Atoms (fractional coordinates):
Li 0.3660 0.1160 0.2500
Li 0.6340 0.8840 0.7500
Ge 0.0000 0.0000 0.5000
Ge 0.0000 0.5000 0.0000
Pt 0.0000 0.5000 0.5000
Pt 0.5000 0.5000 0.0000
O 0.2057 0.2436 0.9621
O 0.2129 0.2301 0.5172
O 0.2129 0.6957 0.9828
O 0.2185 0.7564 0.4621
O 0.7815 0.2436 0.5379
O 0.7871 0.3043 0.0172
O 0.7871 0.7699 0.4828
O 0.7943 0.7564 0.0379


4.
Diffraction record for Y3Ho6Zr. The X-ray powder pattern is simulated, not measured: it uses a structure optimized by DFT (PBE) and a wavelength of 1.5418 Å.

Main lines, by angle (2θ from 5° to 70°):
2θ = 22.10°, d 4.022, I 21; 2θ = 28.69°, d 3.111, I 65; 2θ = 30.81°, d 2.902, I 100; 2θ = 33.41°, d 2.682, I 39; 2θ = 36.51°, d 2.461, I 83; 2θ = 36.61°, d 2.455, I 40; 2θ = 45.08°, d 2.011, I 23; 2θ = 50.43°, d 1.810, I 12; 2θ = 65.23°, d 1.430, I 22; 2θ = 65.34°, d 1.428, I 21

Cell lengths 4.9092, 11.3640, 11.3904 Å; angles 90.00, 90.09, 90.00 degrees
Atoms (fractional coordinates):
Y 0.0000 0.0000 0.0000
Y 0.0000 0.5000 0.5000
Y 0.0007 0.1524 0.6519
Y 0.0007 0.3476 0.1519
Y 0.9993 0.6524 0.8481
Y 0.9993 0.8476 0.3481
Ho 0.0006 0.6437 0.1432
Ho 0.0006 0.8563 0.6432
Ho 0.4991 0.0060 0.2155
Ho 0.4991 0.4940 0.7155
Ho 0.5000 0.2151 0.9940
Ho 0.5000 0.2849 0.4940
Ho 0.5000 0.7151 0.5060
Ho 0.5000 0.7849 0.0060
Ho 0.5009 0.5060 0.2845
Ho 0.5009 0.9940 0.7845
Ho 0.9994 0.1437 0.3568
Ho 0.9994 0.3563 0.8568
Zr 0.5000 0.0000 0.5000
Zr 0.5000 0.5000 0.0000


5.
Diffraction record for BaNdTi4O12. The X-ray powder pattern is simulated, not measured: it uses a structure optimized by DFT (PBE) and a wavelength of 1.5418 Å.

Main lines, by angle (2θ from 5° to 70°):
2θ = 19.63°, d 4.522, I 100; 2θ = 32.33°, d 2.769, I 90; 2θ = 38.07°, d 2.364, I 37; 2θ = 38.18°, d 2.357, I 18; 2θ = 39.88°, d 2.261, I 16; 2θ = 46.31°, d 1.960, I 28; 2θ = 50.82°, d 1.797, I 24; 2θ = 57.62°, d 1.600, I 23; 2θ = 61.48°, d 1.508, I 14; 2θ = 67.72°, d 1.384, I 15

Cell lengths 5.5449, 5.5449, 7.8117 Å; angles 90.00, 90.00, 90.00 degrees
Atoms (fractional coordinates):
Ba 0.0000 0.0000 0.0000
Nd 0.5000 0.5000 0.5000
Ti 0.0000 0.5000 0.2505
Ti 0.0000 0.5000 0.7495
Ti 0.5000 0.0000 0.2505
Ti 0.5000 0.0000 0.7495
O 0.0000 0.5000 0.0000
O 0.0000 0.5000 0.5000
O 0.2570 0.2570 0.2640
O 0.2570 0.2570 0.7360
O 0.2570 0.7430 0.2640
O 0.2570 0.7430 0.7360
O 0.5000 0.0000 0.0000
O 0.5000 0.0000 0.5000
O 0.7430 0.2570 0.2640
O 0.7430 0.2570 0.7360
O 0.7430 0.7430 0.2640
O 0.7430 0.7430 0.7360